1.
Simulated XRD peak list
Compound: Li2ZnCdGa2Ir2
Radiation: a wavelength of 1.5418 Å
Structure: DFT lattice parameters and positions (GGA-PBE)

Principal peaks in the range 10° ≤ 2θ ≤ 80°, low angle first:
| 2θ/deg | I/Imax |
| --- | --- |
| 25.01 | 99 |
| 41.38 | 100 |
| 41.48 | 51 |
| 48.87 | 15 |
| 49.05 | 33 |
| 59.79 | 8 |
| 60.11 | 17 |
| 65.99 | 12 |
| 75.39 | 15 |
| 75.60 | 33 |

Structure:
Lattice parameters (Å, degrees): 4.354 4.354 6.187 90.00 90.00 90.00
Element x y z (fractional)
Li (0.000, 0.500, 0.239)
Li (0.500, 0.000, 0.761)
Zn (0.000, 0.000, 0.000)
Cd (0.500, 0.500, 0.500)
Ga (0.000, 0.000, 0.500)
Ga (0.500, 0.500, 0.000)
Ir (0.000, 0.500, 0.767)
Ir (0.500, 0.000, 0.233)

---

2.
Simulated XRD peak list
Compound: KRbCuAs
Radiation: a wavelength of 1.5418 Å
Structure: DFT lattice parameters and positions (GGA-PBE)

Principal peaks in the range 10° ≤ 2θ ≤ 80°, low angle first:
| 2θ/deg | I/Imax |
| --- | --- |
| 14.42 | 22 |
| 17.11 | 27 |
| 27.57 | 41 |
| 28.36 | 47 |
| 31.99 | 100 |
| 32.74 | 29 |
| 37.73 | 34 |
| 41.70 | 22 |
| 53.60 | 22 |
| 53.90 | 29 |

Structure:
Lattice parameters (Å, degrees): 6.109 6.435 6.435 72.70 90.00 90.00
Element x y z (fractional)
K (0.250, 0.153, 0.847)
K (0.750, 0.847, 0.153)
Rb (0.250, 0.816, 0.511)
Rb (0.750, 0.511, 0.816)
Cu (0.000, 0.336, 0.336)
Cu (0.500, 0.336, 0.336)
As (0.250, 0.565, 0.095)
As (0.750, 0.095, 0.565)

---

3.
Simulated XRD peak list
Compound: Ba2NiAs
Radiation: a wavelength of 1.5418 Å
Structure: DFT lattice parameters and positions (GGA-PBE)

Principal peaks in the range 10° ≤ 2θ ≤ 80°, low angle first:
| 2θ/deg | I/Imax |
| --- | --- |
| 20.28 | 10 |
| 33.41 | 100 |
| 39.40 | 6 |
| 47.98 | 18 |
| 52.59 | 2 |
| 59.72 | 36 |
| 63.76 | 2 |
| 70.19 | 11 |
| 73.92 | 2 |

Structure:
Lattice parameters (Å, degrees): 5.363 5.363 5.363 60.00 60.00 60.00
Element x y z (fractional)
Ba (0.000, 0.000, 0.000)
Ba (0.250, 0.250, 0.250)
Ni (0.500, 0.500, 0.500)
As (0.750, 0.750, 0.750)

---

Repeat the first record exactly.
Simulated XRD peak list
Compound: Li2ZnCdGa2Ir2
Radiation: a wavelength of 1.5418 Å
Structure: DFT lattice parameters and positions (GGA-PBE)

Principal peaks in the range 10° ≤ 2θ ≤ 80°, low angle first:
| 2θ/deg | I/Imax |
| --- | --- |
| 25.01 | 99 |
| 41.38 | 100 |
| 41.48 | 51 |
| 48.87 | 15 |
| 49.05 | 33 |
| 59.79 | 8 |
| 60.11 | 17 |
| 65.99 | 12 |
| 75.39 | 15 |
| 75.60 | 33 |

Structure:
Lattice parameters (Å, degrees): 4.354 4.354 6.187 90.00 90.00 90.00
Element x y z (fractional)
Li (0.000, 0.500, 0.239)
Li (0.500, 0.000, 0.761)
Zn (0.000, 0.000, 0.000)
Cd (0.500, 0.500, 0.500)
Ga (0.000, 0.000, 0.500)
Ga (0.500, 0.500, 0.000)
Ir (0.000, 0.500, 0.767)
Ir (0.500, 0.000, 0.233)

---

Which formula does entry 2 have?
KRbCuAs